(1)
For Ba3Pt2Au, a crystal structure in Alexandria, relaxed with GGA-PBE gives the computed X-ray powder pattern in this record (Cu Kα).

Peak list (8 most intense, 2θ from 10° to 90°, most intense first)
32.31°, I 100
57.48°, I 29
46.34°, I 27
32.18°, I 25
32.45°, I 24
57.80°, I 18
76.94°, I 16
67.62°, I 12

Atomic structure:
a = 8.731 Å, b = 8.731 Å, c = 3.921 Å
α = 90.00°, β = 90.00°, γ = 142.85°
Fractional coordinates of all 6 atoms:
Ba 0.000 0.000 0.000
Ba 0.326 0.674 0.000
Ba 0.674 0.326 0.000
Pt 0.163 0.837 0.500
Pt 0.837 0.163 0.500
Au 0.500 0.500 0.500

---

(2)
For Ba2SiPtAu6, a crystal structure in Alexandria, relaxed with GGA-PBE gives the computed X-ray powder pattern in this record (Cu Kα).

Peak list (8 most intense, 2θ from 10° to 90°, most intense first)
36.23°, I 100
32.16°, I 84
36.09°, I 45
32.28°, I 41
17.86°, I 39
30.07°, I 36
27.93°, I 35
15.94°, I 31

Atomic structure:
a = 6.696 Å, b = 6.709 Å, c = 7.451 Å
α = 63.32°, β = 63.45°, γ = 60.24°
Fractional coordinates of all 10 atoms:
Ba 0.216 0.220 0.347
Ba 0.784 0.780 0.653
Si 0.000 0.000 0.000
Pt 0.500 0.500 0.500
Au 0.247 0.243 0.824
Au 0.249 0.688 0.823
Au 0.313 0.757 0.176
Au 0.687 0.243 0.824
Au 0.751 0.312 0.177
Au 0.753 0.757 0.176

---

(3)
For BaTlPtAu2, a crystal structure in Alexandria, relaxed with GGA-PBE gives the computed X-ray powder pattern in this record (Cu Kα).

Peak list (8 most intense, 2θ from 10° to 90°, most intense first)
31.33°, I 100
40.38°, I 52
38.55°, I 32
40.72°, I 28
41.14°, I 21
57.32°, I 21
29.52°, I 18
59.27°, I 15

Atomic structure:
a = 6.998 Å, b = 6.998 Å, c = 6.998 Å
α = 143.08°, β = 141.01°, γ = 54.78°
Fractional coordinates of all 5 atoms:
Ba 0.000 0.000 0.000
Tl 0.258 0.758 0.500
Pt 0.399 0.399 0.000
Au 0.614 0.614 0.000
Au 0.769 0.269 0.500

---

(4)
For BaPu2Sb2Au2, a crystal structure in Alexandria, relaxed with GGA-PBE gives the computed X-ray powder pattern in this record (Cu Kα).

Peak list (8 most intense, 2θ from 10° to 90°, most intense first)
36.36°, I 100
30.43°, I 98
38.14°, I 47
48.12°, I 28
61.78°, I 27
37.64°, I 26
66.60°, I 19
65.43°, I 18

Atomic structure:
a = 9.849 Å, b = 9.849 Å, c = 9.849 Å
α = 29.06°, β = 29.06°, γ = 29.06°
Fractional coordinates of all 7 atoms:
Ba 0.000 0.000 0.000
Pu 0.144 0.144 0.144
Pu 0.856 0.856 0.856
Sb 0.257 0.257 0.257
Sb 0.743 0.743 0.743
Au 0.444 0.444 0.444
Au 0.556 0.556 0.556